Diffraction record for Sr6Ca2Mn3Fe5O24. The powder XRD pattern is computed, not measured: it uses the GGA+U geometry in Alexandria and Cu Kα, 1.54184 Å.
No peak broadening, texture or thermal motion is included.

Largest 12 diffraction maxima, by intensity, 5 to 70 degrees two-theta:
(hkl)  d_spacing  2theta  intensity
2 0 2  2.754  32.51  100
2 2 0  2.738  32.71  53
2 4 2  1.584  58.25  40
0 0 4  1.960  46.33  21
2 2 4  1.593  57.87  20
0 4 0  1.939  46.87  20
4 0 0  1.933  47.00  19
2 2 2  2.244  40.18  17
0 4 4  1.378  68.03  11
4 0 4  1.376  68.13  11
4 4 0  1.369  68.55  10
1 1 1  4.489  19.78  3

```
data_Sr6Ca2Mn3Fe5O24
_chemical_formula_sum 'Sr6 Ca2 Mn3 Fe5 O24'
_space_group_name_H-M_alt 'P 1'
_space_group_IT_number 1
_space_group_name_Hall 'P 1'
_cell_length_a 7.734
_cell_length_b 7.754
_cell_length_c 7.838
_cell_angle_alpha 90.00
_cell_angle_beta 90.00
_cell_angle_gamma 90.00
loop_
_atom_site_label
_atom_site_type_symbol
_atom_site_fract_x
_atom_site_fract_y
_atom_site_fract_z
Sr1 Sr 0.000 0.000 0.000
Sr2 Sr 0.000 0.000 0.498
Sr3 Sr 0.000 0.498 0.499
Sr4 Sr 0.500 0.000 0.499
Sr5 Sr 0.500 0.498 0.000
Sr6 Sr 0.500 0.498 0.498
Ca1 Ca 0.000 0.498 0.000
Ca2 Ca 0.500 0.000 0.000
Mn1 Mn 0.250 0.249 0.751
Mn2 Mn 0.750 0.249 0.248
Mn3 Mn 0.750 0.249 0.751
Fe1 Fe 0.250 0.249 0.248
Fe2 Fe 0.250 0.749 0.248
Fe3 Fe 0.250 0.749 0.751
Fe4 Fe 0.750 0.749 0.248
Fe5 Fe 0.750 0.749 0.751
O1 O 0.000 0.290 0.759
O2 O 0.000 0.712 0.758
O3 O 0.001 0.778 0.250
O4 O 0.216 0.001 0.748
O5 O 0.218 0.501 0.241
O6 O 0.250 0.249 0.503
O7 O 0.250 0.749 0.000
O8 O 0.250 0.749 0.499
O9 O 0.251 0.249 0.996
O10 O 0.282 0.997 0.241
O11 O 0.284 0.497 0.749
O12 O 0.499 0.720 0.250
O13 O 0.500 0.208 0.758
O14 O 0.500 0.786 0.758
O15 O 0.502 0.277 0.250
O16 O 0.716 0.497 0.748
O17 O 0.717 0.001 0.241
O18 O 0.749 0.249 0.999
O19 O 0.750 0.249 0.500
O20 O 0.750 0.749 0.500
O21 O 0.750 0.749 0.999
O22 O 0.783 0.497 0.241
O23 O 0.784 0.001 0.748
O24 O 0.998 0.222 0.250
```